Computed X-ray powder pattern
Compound: Ba3NaSn2O6
Radiation: a wavelength of 1.5418 Å
Structure: a cell relaxed with GGA-PBE
Neutral-atom scattering factors, no anomalous dispersion.

Most intense lines, 10 to 90 degrees two-theta, by intensity:
hkl 1 1 0, d = 3.124 Å, 2θ 28.57, intensity 100; hkl 0 1 2, d = 2.947 Å, 2θ 30.33, intensity 86; hkl 2 0 2, d = 2.144 Å, 2θ 42.15, intensity 48; hkl 1 2 2, d = 1.768 Å, 2θ 51.72, intensity 40; hkl 3 0 0, d = 1.804 Å, 2θ 50.61, intensity 21; hkl 0 1 1, d = 4.288 Å, 2θ 20.72, intensity 20

Atomic structure:
abc: 6.2480 6.2480 7.0284
angles: 90.00 90.00 120.00
Space group P-3m1 (No. 164)
Symmetry-distinct sites (fractional):
Ba 0.0000 0.0000 0.0000 x1
Ba 0.3333 0.6667 0.6196 x2
Na 0.0000 0.0000 0.5000 x1
Sn 0.3333 0.6667 0.1470 x2
O 0.1735 0.3470 0.2948 x6